1.
Na2MoH6: simulated powder diffractogram (copper Kα), based on a GGA-PBE-relaxed structure.
Lines closer than 0.1° are merged.

Cell and atoms:
a = 4.844 Å, b = 4.844 Å, c = 8.724 Å
α = 90.00°, β = 90.00°, γ = 90.00°
Space group P4/mnc (No. 128)
One atom of each set of equivalent atoms:
Na 0.000 0.500 0.250 (multiplicity 4)
Mo 0.000 0.000 0.000 (multiplicity 2)
H 0.000 0.000 0.211 (multiplicity 4)
H 0.178 0.298 0.500 (multiplicity 8)

Most intense lines, 2θ = 10–90°, in order of rising 2θ:
hkl, d (Å), I (rel.)
1 0 1, 4.235, 100
1 1 2, 2.694, 65
1 0 3, 2.493, 23
2 0 0, 2.422, 25
2 1 1, 2.103, 30
3 1 2, 1.445, 18

2.
Na4MoH6: simulated powder diffractogram (copper Kα), based on a GGA-PBE-relaxed structure.
Lines closer than 0.1° are merged.

Cell and atoms:
a = 9.534 Å, b = 5.698 Å, c = 11.846 Å
α = 90.00°, β = 107.03°, γ = 90.00°
Space group Cc (No. 9)
One atom of each set of equivalent atoms:
Na 0.000 0.196 0.000 (multiplicity 4)
Na 0.191 0.283 0.570 (multiplicity 4)
Na 0.318 0.202 0.858 (multiplicity 4)
Na 0.426 0.242 0.196 (multiplicity 4)
Mo 0.137 0.294 0.284 (multiplicity 4)
H 0.094 0.459 0.876 (multiplicity 4)
H 0.192 0.069 0.193 (multiplicity 4)
H 0.253 0.491 0.232 (multiplicity 4)
H 0.261 0.155 0.418 (multiplicity 4)
H 0.454 0.323 0.026 (multiplicity 4)
H 0.455 0.173 0.676 (multiplicity 4)

Most intense lines, 2θ = 10–90°, in order of rising 2θ:
hkl, d (Å), I (rel.)
0 0 2, 5.663, 30
1 1 -1, 4.716, 36
2 0 -2, 4.210, 38
0 2 0, 2.849, 24
2 0 -4, 2.801, 26
1 1 3, 2.774, 100